Structure and computed powder diffractogram of PmSmDy5Ho2 (the PBE geometry in Alexandria; Cu Kα (λ = 1.5418 Å)).
Lines closer than 0.1° are merged.

Structure:
```
PmSmDy5Ho2
1.0
-4.4751 4.4751 7.3336
4.4751 -4.4751 7.3336
4.4751 4.4751 -7.3336
Pm Sm Dy Ho
2 2 10 4
Cartesian
0.0000 0.0000 3.6668
0.0000 0.0000 11.0004
4.4751 0.0000 3.6668
0.0000 4.4751 3.6668
0.0000 0.0000 0.0000
6.2960 1.8209 -1.9289
1.8209 2.6542 -1.9289
6.2960 1.8209 1.9289
1.8209 2.6542 1.9289
0.0000 0.0000 7.3336
2.6542 1.8209 5.4047
-1.8209 2.6542 5.4047
2.6542 1.8209 9.2625
-1.8209 2.6542 9.2625
3.4657 1.0094 0.0000
3.4657 -1.0094 7.3336
1.0094 5.4845 0.0000
1.0094 3.4657 7.3336
```

The 10 most intense peaks (2θ from 5° to 70°), sorted by position:
| d/Å | two_theta | I (rel.) |
| --- | --- | --- |
| 3.164 | 28.20 | 44.2 |
| 3.097 | 28.83 | 45.7 |
| 2.835 | 31.55 | 100.0 |
| 2.447 | 36.72 | 20.9 |
| 2.366 | 38.03 | 15.1 |
| 2.147 | 42.08 | 16.3 |
| 1.833 | 49.73 | 10.9 |
| 1.757 | 52.06 | 15.7 |
| 1.586 | 58.15 | 11.1 |
| 1.583 | 58.29 | 14.1 |